Computed powder diffraction line list
Compound: SrNdNiRuO6
Radiation: a wavelength of 1.5418 Å
Structure: a crystal structure in the Materials Project, relaxed with GGA+U

Peak list (8 most intense, 2θ = 10–90°, by angle)
| two_theta | d/Å | Rel. int. | (hkl) |
| --- | --- | --- | --- |
| 32.0 | 2.800 | 100 | 1 1 1 |
| 32.3 | 2.768 | 22 | 0 2 0 |
| 32.7 | 2.737 | 23 | 2 0 -2 |
| 45.0 | 2.016 | 16 | 0 0 4 |
| 46.7 | 1.946 | 25 | 2 2 -2 |
| 57.4 | 1.604 | 14 | 1 3 1 |
| 57.9 | 1.592 | 21 | 3 1 -1 |
| 66.8 | 1.400 | 14 | 2 2 -6 |

Cell and atoms:
```
20
Lattice="5.4731 0.0000 0.0000 0.0000 5.5369 0.0000 -5.4677 0.0000 8.0622" Properties=species:S:1:pos:R:3 pbc="T T T"
Sr 0.0000 1.2120 0.0000
Sr -2.7338 4.3248 4.0311
Nd 0.1136 1.6539 4.0504
Nd 2.8475 3.8829 0.0193
Ni 2.7746 1.3429 2.0268
Ni 0.0408 4.1939 6.0579
Ru -2.6844 1.3614 6.0490
Ru 0.0494 4.1755 2.0180
O -2.2110 1.3173 4.0978
O 0.5228 4.2195 0.0667
O -3.0481 1.5010 8.0092
O -0.3143 4.0358 3.9781
O 1.1398 0.2502 2.3877
O -1.5940 5.2867 6.4188
O -1.1769 2.6097 6.3750
O 1.5569 2.9271 2.3439
O 1.1650 0.2432 5.6767
O 3.8989 5.2937 1.6456
O 4.2901 2.6112 1.6862
O 1.5562 2.9257 5.7173
```